Record 1
Diffraction record for Hf2In2H. The X-ray powder pattern is theoretical, not measured: it uses a crystal structure in Alexandria, relaxed with GGA-PBE and CuKα.
Lines closer than 0.1° are merged.

Main lines, by angle (2θ = 15–90°):
32.97°, intensity 45; 33.87°, intensity 45; 34.66°, intensity 100; 35.91°, intensity 52; 36.78°, intensity 48; 38.93°, intensity 39

Structural model:
Cell: 11.2853 3.2571 10.1921 Å, 90.00 101.07 90.00°
Space group C2/m (No. 12)
Asymmetric unit:
Hf1 0.1076 0.0000 0.4022 (multiplicity 4)
Hf2 0.1760 0.5000 0.1287 (multiplicity 4)
In1 0.0590 0.0000 0.8809 (multiplicity 4)
In2 0.1410 0.5000 0.6587 (multiplicity 4)
H1 0.1432 0.5000 0.3117 (multiplicity 4)

Record 2
Diffraction record for Hf3InH. The X-ray powder pattern is theoretical, not measured: it uses a crystal structure in Alexandria, relaxed with GGA-PBE and CuKα.
Lines closer than 0.1° are merged.

Main lines, by angle (2θ = 15–90°):
34.82°, intensity 100; 35.21°, intensity 97; 37.63°, intensity 82; 46.20°, intensity 23; 60.99°, intensity 20; 65.87°, intensity 31

Structural model:
Cell: 5.1571 6.8258 5.1690 Å, 90.00 99.14 90.00°
Space group P2 (No. 3)
Asymmetric unit:
Hf1 0.2444 0.0000 0.2361 (multiplicity 2)
Hf2 0.2540 0.2566 0.7521 (multiplicity 2)
Hf3 0.2559 0.7438 0.7533 (multiplicity 2)
In1 0.2448 0.5027 0.2487 (multiplicity 2)
H1 0.0000 0.9037 0.5000 (multiplicity 1)
H2 0.5000 0.1562 0.5000 (multiplicity 1)